# InPb
Computed powder X-ray diffraction pattern, Cu Kα. Input: the GGA-PBE geometry in Alexandria.
Peak positions follow from Bragg's law for the DFT cell and can differ from measured ones.

Structure:
```
InPb
1.0
-6.111 6.111 1.632
6.111 -6.111 1.632
6.111 6.111 -1.632
In Pb
4 4
Direct
0.094 0.363 0.457 In
0.363 0.906 0.269 In
0.637 0.094 0.731 In
0.906 0.637 0.543 In
0.106 0.837 0.943 Pb
0.163 0.106 0.268 Pb
0.837 0.894 0.732 Pb
0.894 0.163 0.057 Pb
```

Principal peaks in the range 2θ from 10° to 90°, low angle first:
d [Å]	intensity
3.865	29
3.153	73
3.055	100
2.733	78
2.351	83
2.194	47
1.956	35
1.493	41
1.482	25
1.440	27